Starting from DFT lattice parameters and positions (GGA-PBE), the X-ray diffraction stick pattern of Ba2CaMoN4 was simulated for Cu Kα (λ = 1.5418 Å).
Kinematic intensities with the Lorentz-polarization factor, no thermal factor.

Cell and atoms:
Cell: 7.8310 6.4913 6.2328 Å, 90.00 90.00 90.00°
Fractional coordinates of all 16 atoms:
1 Ba 0.2466 0.2326 0.0000
2 Ba 0.2534 0.7674 0.5000
3 Ba 0.7466 0.7674 0.5000
4 Ba 0.7534 0.2326 0.0000
5 Ca 0.0000 0.7709 0.9996
6 Ca 0.5000 0.2291 0.4996
7 Mo 0.0000 0.2018 0.4995
8 Mo 0.5000 0.7982 0.9995
9 N 0.0000 0.0219 0.2604
10 N 0.0000 0.0234 0.7398
11 N 0.2056 0.3526 0.4984
12 N 0.2944 0.6474 0.9984
13 N 0.5000 0.9766 0.2398
14 N 0.5000 0.9781 0.7604
15 N 0.7056 0.6474 0.9984
16 N 0.7944 0.3526 0.4984

Principal peaks in the range 10 to 90 degrees two-theta, by angle:
- hkl 0 1 1, 2θ = 19.7°, intensity 95
- hkl 0 2 0, 2θ = 27.5°, intensity 289
- hkl 0 0 2, 2θ = 28.6°, intensity 330
- hkl 2 1 1, 2θ = 30.3°, intensity 1000
- hkl 0 2 2, 2θ = 40.1°, intensity 270
- hkl 4 0 0, 2θ = 46.4°, intensity 100
- hkl 2 3 1, 2θ = 50.4°, intensity 205
- hkl 2 1 3, 2θ = 51.8°, intensity 217
- hkl 4 0 2, 2θ = 55.4°, intensity 93
- hkl 4 2 2, 2θ = 63.0°, intensity 132

Starting from DFT lattice parameters and positions (GGA-PBE), the X-ray diffraction stick pattern of Pu2Zn2GeRh5 was simulated for Cu Kα (λ = 1.5418 Å).
Kinematic intensities with the Lorentz-polarization factor, no thermal factor.

Cell and atoms:
Cell: 9.7103 9.7103 3.5469 Å, 90.00 90.00 90.00°
Fractional coordinates of all 20 atoms:
1 Pu 0.1721 0.3279 0.0000
2 Pu 0.3279 0.8279 0.0000
3 Pu 0.6721 0.1721 0.0000
4 Pu 0.8279 0.6721 0.0000
5 Zn 0.1272 0.6272 0.0000
6 Zn 0.3728 0.1272 0.0000
7 Zn 0.6272 0.8728 0.0000
8 Zn 0.8728 0.3728 0.0000
9 Ge 0.0000 0.0000 0.0000
10 Ge 0.5000 0.5000 0.0000
11 Rh 0.0000 0.5000 0.5000
12 Rh 0.0649 0.8036 0.5000
13 Rh 0.1964 0.0649 0.5000
14 Rh 0.3036 0.5649 0.5000
15 Rh 0.4351 0.3036 0.5000
16 Rh 0.5000 0.0000 0.5000
17 Rh 0.5649 0.6964 0.5000
18 Rh 0.6964 0.4351 0.5000
19 Rh 0.8036 0.9351 0.5000
20 Rh 0.9351 0.1964 0.5000

Principal peaks in the range 10 to 90 degrees two-theta, by angle:
- hkl 2 1 0, 2θ = 20.5°, intensity 132
- hkl 2 0 1, 2θ = 31.2°, intensity 178
- hkl 2 1 1, 2θ = 32.6°, intensity 467
- hkl 2 2 1, 2θ = 36.4°, intensity 184
- hkl 4 1 0, 2θ = 38.2°, intensity 598
- hkl 3 1 1, 2θ = 38.8°, intensity 1000
- hkl 3 3 0, 2θ = 39.4°, intensity 306
- hkl 3 2 1, 2θ = 42.1°, intensity 245
- hkl 0 0 2, 2θ = 51.5°, intensity 215
- hkl 4 1 2, 2θ = 65.9°, intensity 244